(1)
Li2Y2Cd3: simulated XRD peak list (CuKα), based on the GGA-PBE geometry in Alexandria.
No peak broadening, texture or thermal motion is included.

Main lines, in order of falling intensity (5 to 70 degrees two-theta):
2.580 Å, intensity 100; 2.608 Å, intensity 92; 3.017 Å, intensity 60; 2.561 Å, intensity 59; 11.863 Å, intensity 50; 1.564 Å, intensity 36; 1.493 Å, intensity 23; 1.954 Å, intensity 20; 1.436 Å, intensity 19; 1.977 Å, intensity 18

Cell and atoms:
Cell lengths 12.0232, 12.0232, 3.4702 Å; angles 90.00, 90.00, 161.29 degrees
Element x y z (fractional)
Li 0.2152 0.7848 0.0000
Li 0.7848 0.2152 0.0000
Y 0.0806 0.9194 0.0000
Y 0.9194 0.0806 0.0000
Cd 0.3367 0.6633 0.5000
Cd 0.5000 0.5000 0.5000
Cd 0.6633 0.3367 0.5000

---

(2)
Li2Y3Cd5: simulated XRD peak list (CuKα), based on the GGA-PBE geometry in Alexandria.
No peak broadening, texture or thermal motion is included.

Main lines, in order of falling intensity (5 to 70 degrees two-theta):
2.593 Å, intensity 100; 3.112 Å, intensity 64; 2.542 Å, intensity 63; 2.768 Å, intensity 47; 1.610 Å, intensity 39; 2.383 Å, intensity 34; 2.081 Å, intensity 31; 2.344 Å, intensity 27; 4.162 Å, intensity 23; 1.396 Å, intensity 21

Cell and atoms:
Cell lengths 10.4813, 10.4813, 4.1620 Å; angles 90.00, 90.00, 90.00 degrees
Element x y z (fractional)
Li 0.1149 0.3851 0.0000
Li 0.3851 0.8851 0.0000
Li 0.6149 0.1149 0.0000
Li 0.8851 0.6149 0.0000
Y 0.0000 0.0000 0.0000
Y 0.1791 0.6791 0.0000
Y 0.3209 0.1791 0.0000
Y 0.5000 0.5000 0.0000
Y 0.6791 0.8209 0.0000
Y 0.8209 0.3209 0.0000
Cd 0.0000 0.5000 0.5000
Cd 0.0619 0.2167 0.5000
Cd 0.2167 0.9381 0.5000
Cd 0.2833 0.4381 0.5000
Cd 0.4381 0.7167 0.5000
Cd 0.5000 0.0000 0.5000
Cd 0.5619 0.2833 0.5000
Cd 0.7167 0.5619 0.5000
Cd 0.7833 0.0619 0.5000
Cd 0.9381 0.7833 0.5000

---

(3)
LiYZnCd: simulated XRD peak list (CuKα), based on the GGA-PBE geometry in Alexandria.
No peak broadening, texture or thermal motion is included.

Main lines, in order of falling intensity (5 to 70 degrees two-theta):
2.403 Å, intensity 100; 1.387 Å, intensity 33; 3.398 Å, intensity 27; 1.699 Å, intensity 17; 3.924 Å, intensity 15; 1.520 Å, intensity 10; 2.049 Å, intensity 8; 1.962 Å, intensity 7; 1.559 Å, intensity 3

Cell and atoms:
Cell lengths 4.8062, 4.8062, 4.8062 Å; angles 60.00, 60.00, 60.00 degrees
Element x y z (fractional)
Li 0.0000 0.0000 0.0000
Y 0.7500 0.7500 0.7500
Zn 0.5000 0.5000 0.5000
Cd 0.2500 0.2500 0.2500

---

(4)
Li7Zn3Cd: simulated XRD peak list (CuKα), based on the GGA-PBE geometry in Alexandria.
No peak broadening, texture or thermal motion is included.

Main lines, in order of falling intensity (5 to 70 degrees two-theta):
4.225 Å, intensity 100; 3.205 Å, intensity 93; 3.163 Å, intensity 90; 2.199 Å, intensity 42; 2.094 Å, intensity 41; 2.159 Å, intensity 40; 2.451 Å, intensity 32; 2.410 Å, intensity 27; 1.529 Å, intensity 19; 1.718 Å, intensity 18

Cell and atoms:
Cell lengths 6.8220, 6.8220, 4.9039 Å; angles 110.04, 110.04, 89.89 degrees
Element x y z (fractional)
Li 0.0000 0.0000 0.0000
Li 0.1023 0.5541 0.3276
Li 0.3268 0.3268 0.8345
Li 0.4459 0.8977 0.6724
Li 0.5541 0.1023 0.3276
Li 0.6732 0.6732 0.1655
Li 0.8977 0.4459 0.6724
Zn 0.2718 0.7282 0.0000
Zn 0.5000 0.5000 0.5000
Zn 0.7282 0.2718 0.0000
Cd 0.0000 0.0000 0.5000